For InTe2O5, a PBE-relaxed structure gives the theoretical PXRD pattern in this record (Cu Kα, 1.54184 Å).
Kinematic intensities with the Lorentz-polarization factor, no thermal factor.

Most intense lines, 5 to 70 degrees two-theta, sorted by position:
19.7°, I 322; 24.0°, I 989; 26.7°, I 626; 28.6°, I 1000; 30.0°, I 238; 30.8°, I 545; 36.9°, I 204; 42.0°, I 245; 49.4°, I 316; 56.7°, I 255

Structure:
```
32
Lattice="7.4785 0.0000 0.0000 0.0000 11.2086 0.0000 0.0000 0.0000 6.5587" Properties=species:S:1:pos:R:3 pbc="T T T"
In 0.0000 0.6541 1.6397
In 0.0000 10.5546 4.9190
In 3.7392 4.9503 4.9190
In 3.7392 6.2584 1.6397
Te 0.9161 3.8413 0.1307
Te 0.9161 7.3674 3.4100
Te 2.8231 1.7631 3.4100
Te 2.8231 9.4456 0.1307
Te 4.6554 1.7631 6.4281
Te 4.6554 9.4456 3.1487
Te 6.5623 3.8413 3.1487
Te 6.5623 7.3674 6.4281
O 0.0000 4.8403 1.6397
O 0.0000 6.3683 4.9190
O 1.1577 0.7575 3.5716
O 1.1577 10.4511 0.2923
O 1.4469 2.3467 1.2025
O 1.4469 8.8619 4.4819
O 2.2923 3.2576 4.4819
O 2.2923 7.9511 1.2025
O 2.5816 4.8468 0.2923
O 2.5816 6.3618 3.5716
O 3.7392 0.7640 4.9190
O 3.7392 10.4446 1.6397
O 4.8969 4.8468 2.9871
O 4.8969 6.3618 6.2665
O 5.1862 3.2576 5.3562
O 5.1862 7.9511 2.0769
O 6.0315 2.3467 2.0769
O 6.0315 8.8619 5.3562
O 6.3208 0.7575 6.2665
O 6.3208 10.4511 2.9871
```